Structure and theoretical PXRD pattern of NiPd2F6 (a structure optimized by DFT (PBE+U); Cu Kα).
Neutral-atom scattering factors, no anomalous dispersion.

Crystal structure
Unit cell a=4.750 b=5.601 c=9.379 alpha=90.00 beta=90.00 gamma=90.00
Space group Pnnm (No. 58)
Inequivalent atoms, fractional coordinates:
Ni (0.000, 0.000, 0.000) [2 per cell]
Pd (0.000, 0.500, 0.179) [4 per cell]
F (0.217, 0.314, 0.000) [4 per cell]
F (0.234, 0.839, 0.155) [8 per cell]

Top 6 peaks for 10 to 90 degrees two-theta, low angle first:
hkl 1 0 1, 21.0 deg, intensity 100; hkl 1 1 0, 24.6 deg, intensity 51; hkl 1 1 2, 31.2 deg, intensity 95; hkl 0 1 3, 32.8 deg, intensity 51; hkl 2 2 0, 50.4 deg, intensity 35; hkl 2 1 3, 51.0 deg, intensity 63